Record 1
Theoretical PXRD pattern
Compound: SrCoBiRuO6
Radiation: CuKα
Structure: a DFT-relaxed cell (GGA+U, the Materials Project)
No peak broadening, texture or thermal motion is included.

Largest 6 diffraction maxima, in order of rising 2θ, 5 to 70 degrees two-theta:
| Position (°2θ) | I (rel.) |
| --- | --- |
| 19.3 | 27.1 |
| 31.4 | 33.1 |
| 31.7 | 100.0 |
| 31.9 | 67.4 |
| 45.2 | 35.2 |
| 56.4 | 24.7 |

Cell and atoms:
```
data_SrCoBiRuO6
_cell_length_a 5.695
_cell_length_b 5.652
_cell_length_c 9.680
_cell_angle_alpha 90.00
_cell_angle_beta 125.52
_cell_angle_gamma 90.00
_symmetry_space_group_name_H-M 'P 1 c 1'
_symmetry_Int_Tables_number 7
loop_
_symmetry_equiv_pos_as_xyz
'x,y,z'
'x,-y,z+1/2'
loop_
_atom_site_label
_atom_site_fract_x
_atom_site_fract_y
_atom_site_fract_z
Sr1 0.000 0.226 0.000
Co1 0.254 0.247 0.750
Bi1 0.534 0.289 0.499
Ru1 0.750 0.247 0.249
O1 0.079 0.238 0.491
O2 0.435 0.269 0.007
O3 0.523 0.038 0.299
O4 0.568 0.494 0.801
O5 0.910 0.029 0.701
O6 0.953 0.485 0.200
```



Record 2
Theoretical PXRD pattern
Compound: PrMgMo2O6
Radiation: CuKα
Structure: a DFT-relaxed cell (GGA+U, the Materials Project)
No peak broadening, texture or thermal motion is included.

Largest 6 diffraction maxima, in order of rising 2θ, 5 to 70 degrees two-theta:
| Position (°2θ) | I (rel.) |
| --- | --- |
| 19.6 | 37.4 |
| 31.4 | 41.3 |
| 31.6 | 100.0 |
| 31.7 | 97.8 |
| 32.7 | 41.3 |
| 46.0 | 41.3 |

Cell and atoms:
```
data_PrMgMo2O6
_cell_length_a 5.479
_cell_length_b 5.692
_cell_length_c 9.744
_cell_angle_alpha 90.00
_cell_angle_beta 123.94
_cell_angle_gamma 90.00
_symmetry_space_group_name_H-M 'P 1 c 1'
_symmetry_Int_Tables_number 7
loop_
_symmetry_equiv_pos_as_xyz
'x,y,z'
'x,-y,z+1/2'
loop_
_atom_site_label
_atom_site_fract_x
_atom_site_fract_y
_atom_site_fract_z
Pr1 0.000 0.195 0.000
Mg1 0.524 0.298 0.500
Mo1 0.260 0.253 0.750
Mo2 0.761 0.257 0.250
O1 0.152 0.202 0.497
O2 0.402 0.331 0.002
O3 0.519 0.069 0.321
O4 0.632 0.461 0.819
O5 0.864 0.057 0.685
O6 0.977 0.455 0.182
```



Record 3
Theoretical PXRD pattern
Compound: LiV2F7
Radiation: CuKα
Structure: a DFT-relaxed cell (GGA+U, the Materials Project)
No peak broadening, texture or thermal motion is included.

Largest 6 diffraction maxima, in order of rising 2θ, 5 to 70 degrees two-theta:
| Position (°2θ) | I (rel.) |
| --- | --- |
| 14.9 | 100.0 |
| 17.1 | 39.2 |
| 23.9 | 34.7 |
| 28.0 | 28.3 |
| 28.9 | 43.3 |
| 48.8 | 22.4 |

Cell and atoms:
```
data_LiV2F7
_cell_length_a 7.538
_cell_length_b 10.750
_cell_length_c 7.126
_cell_angle_alpha 90.00
_cell_angle_beta 90.00
_cell_angle_gamma 90.00
_symmetry_space_group_name_H-M 'I m m a'
_symmetry_Int_Tables_number 74
_symmetry_space_group_name_Hall '-I 2b 2'
loop_
_atom_site_label
_atom_site_fract_x
_atom_site_fract_y
_atom_site_fract_z
Li1 0.000 0.000 0.000
V1 0.000 0.000 0.500
V2 0.250 0.250 0.250
F1 0.000 0.050 0.756
F2 0.000 0.250 0.155
F3 0.198 0.121 0.436
```



Record 4
Theoretical PXRD pattern
Compound: Mn6O5F7
Radiation: CuKα
Structure: a DFT-relaxed cell (GGA+U, the Materials Project)
No peak broadening, texture or thermal motion is included.

Largest 6 diffraction maxima, in order of rising 2θ, 5 to 70 degrees two-theta:
| Position (°2θ) | I (rel.) |
| --- | --- |
| 24.6 | 100.0 |
| 29.9 | 98.4 |
| 30.2 | 91.3 |
| 35.7 | 38.9 |
| 51.7 | 29.8 |
| 53.5 | 36.4 |

Cell and atoms:
```
data_Mn6O5F7
_cell_length_a 4.657
_cell_length_b 5.731
_cell_length_c 15.662
_cell_angle_alpha 90.16
_cell_angle_beta 90.84
_cell_angle_gamma 90.06
_symmetry_space_group_name_H-M 'P 1'
_symmetry_Int_Tables_number 1
loop_
_symmetry_equiv_pos_as_xyz
'x,y,z'
loop_
_atom_site_label
_atom_site_fract_x
_atom_site_fract_y
_atom_site_fract_z
Mn1 0.000 0.000 0.000
Mn2 0.001 0.010 0.665
Mn3 0.004 0.314 0.499
Mn4 0.022 0.297 0.163
Mn5 0.035 0.298 0.833
Mn6 0.057 0.000 0.328
Mn7 0.487 0.506 0.318
Mn8 0.493 0.815 0.491
Mn9 0.495 0.822 0.155
Mn10 0.496 0.510 0.990
Mn11 0.507 0.502 0.650
Mn12 0.507 0.823 0.812
O1 0.214 0.271 0.608
O2 0.216 0.047 0.106
O3 0.222 0.040 0.772
O4 0.223 0.268 0.943
O5 0.229 0.052 0.442
O6 0.233 0.269 0.269
O7 0.294 0.767 0.262
O8 0.705 0.542 0.544
O9 0.706 0.784 0.047
O10 0.719 0.778 0.708
F1 0.236 0.771 0.596
F2 0.249 0.561 0.430
F3 0.250 0.551 0.098
F4 0.267 0.765 0.920
F5 0.274 0.534 0.759
F6 0.741 0.546 0.876
F7 0.743 0.771 0.378
F8 0.749 0.042 0.557
F9 0.750 0.537 0.208
F10 0.754 0.285 0.060
F11 0.760 0.037 0.892
F12 0.762 0.279 0.730
F13 0.763 0.281 0.384
F14 0.771 0.031 0.225
```



Record 5
Theoretical PXRD pattern
Compound: Lu2WO6
Radiation: CuKα
Structure: a DFT-relaxed cell (GGA+U, the Materials Project)
No peak broadening, texture or thermal motion is included.

Largest 6 diffraction maxima, in order of rising 2θ, 5 to 70 degrees two-theta:
| Position (°2θ) | I (rel.) |
| --- | --- |
| 29.0 | 100.0 |
| 29.8 | 96.8 |
| 32.7 | 22.1 |
| 33.9 | 23.5 |
| 35.6 | 21.7 |
| 50.0 | 22.7 |

Cell and atoms:
```
data_Lu2WO6
_cell_length_a 7.583
_cell_length_b 5.296
_cell_length_c 11.289
_cell_angle_alpha 90.00
_cell_angle_beta 104.82
_cell_angle_gamma 90.00
_symmetry_space_group_name_H-M 'P 1 2/c 1'
_symmetry_Int_Tables_number 13
loop_
_symmetry_equiv_pos_as_xyz
'x,y,z'
'-x,-y,-z'
'-x,y,-z+1/2'
'x,-y,z+1/2'
loop_
_atom_site_label
_atom_site_fract_x
_atom_site_fract_y
_atom_site_fract_z
Lu1 0.000 0.185 0.250
Lu2 0.295 0.316 0.921
Lu3 0.500 0.240 0.250
W1 0.223 0.244 0.614
O1 0.014 0.137 0.885
O2 0.133 0.351 0.449
O3 0.210 0.477 0.230
O4 0.293 0.039 0.775
O5 0.348 0.040 0.069
O6 0.442 0.459 0.605
```